This entry pairs a crystal structure of Cr8As with its simulated powder X-ray diffraction pattern. Radiation: Cu Kα (λ = 1.5418 Å). Structure: a crystal structure in Alexandria, relaxed with GGA-PBE.
Lines closer than 0.1° are merged.

Largest 6 diffraction maxima, low angle first, 2θ from 10° to 80°:
2θ (°)  I_rel
24.4  1
43.4  100
44.6  23
53.3  26
71.9  19
78.7  7

Structural model:
Unit cell a=7.2966 b=7.2966 c=4.0660 alpha=90.00 beta=90.00 gamma=90.00
Space group I4/mmm (No. 139)
One atom of each set of equivalent atoms:
Cr 0.0000 0.3375 0.0000
Cr 0.1643 0.1643 0.5000
As 0.0000 0.0000 0.0000